Diffraction record for Ti4CoBi2. The X-ray diffraction stick pattern is calculated, not measured: it uses the PBE geometry in the Materials Project and copper Kα.
Neutral-atom scattering factors, no anomalous dispersion.

Most intense lines, 2θ = 15–90°, low angle first:
d = 3.396 Å, 2θ 26.2, intensity 1000; d = 3.351 Å, 2θ 26.6, intensity 333; d = 2.516 Å, 2θ 35.7, intensity 593; d = 2.273 Å, 2θ 39.7, intensity 268; d = 1.824 Å, 2θ 50.0, intensity 284; d = 1.793 Å, 2θ 50.9, intensity 272

Structure:
```
Ti4CoBi2
1.0
-5.298 5.298 2.435
5.298 -5.298 2.435
5.298 5.298 -2.435
Ti Co Bi
8 2 4
Cartesian
8.553 0.852 0.000
0.852 2.043 0.000
6.150 3.255 0.000
3.255 4.446 0.000
2.043 0.852 2.435
-0.852 2.043 2.435
4.446 3.255 2.435
-3.255 4.446 2.435
0.000 0.000 1.217
0.000 0.000 3.652
3.823 1.475 0.000
3.823 -1.475 2.435
1.475 6.773 0.000
1.475 3.823 2.435
```